The following is a theoretical powder diffractogram of La10Tb4Ho. It was derived from a structure optimized by DFT (PBE), using Cu Ka.

Largest 10 diffraction maxima, sorted by position, 5° ≤ 2θ ≤ 70°:
two_theta, Rel. int.
19.43, 46
22.52, 9
31.95, 100
32.06, 50
37.76, 17
45.64, 9
45.97, 18
56.86, 19
57.07, 38
66.78, 12

Cell and atoms:
```
La10Tb4Ho
1.0
-6.2431 6.2431 3.9755
6.2431 -6.2431 3.9755
6.2431 6.2431 -3.9755
La Tb Ho
10 4 1
Direct
0.0504 0.3498 0.8994 La
0.1510 0.0504 0.7005 La
0.2500 0.7500 0.5000 La
0.3498 0.4504 0.2995 La
0.4504 0.1510 0.1006 La
0.5496 0.8490 0.8994 La
0.6502 0.5496 0.7005 La
0.7500 0.2500 0.5000 La
0.8490 0.9496 0.2995 La
0.9496 0.6502 0.1006 La
0.1003 0.7003 0.8006 Tb
0.2997 0.1003 0.4000 Tb
0.7003 0.8997 0.6000 Tb
0.8997 0.2997 0.1994 Tb
0.5000 0.5000 0.0000 Ho
```